Li11Ni12O24: calculated powder diffractogram (a wavelength of 1.5418 Å), based on a crystal structure in Alexandria, relaxed with GGA+U.
Lines closer than 0.1° are merged.

Atomic structure:
```
data_Li11Ni12O24
_chemical_formula_sum 'Li22 Ni24 O48'
_cell_length_a 12.5661
_cell_length_b 8.7210
_cell_length_c 9.7447
_cell_angle_alpha 90.00
_cell_angle_beta 128.92
_cell_angle_gamma 90.00
_space_group_name_H-M_alt 'C 1 2/m 1'
_space_group_IT_number 12
loop_
_space_group_symop_operation_xyz
'x,y,z'
'-x,-y,-z'
'-x,y,-z'
'x,-y,z'
'x+1/2,y+1/2,z'
'-x+1/2,-y+1/2,-z'
'-x+1/2,y+1/2,-z'
'x+1/2,-y+1/2,z'
loop_
_atom_site_label
_atom_site_fract_x
_atom_site_fract_y
_atom_site_fract_z
Li1 0.0000 0.0000 0.0000
Li2 0.0000 0.1781 0.5000
Li3 0.0000 0.3256 0.0000
Li4 0.2441 0.3374 0.7460
Li5 0.2477 0.0000 0.7483
Ni1 0.1214 0.0000 0.3693
Ni2 0.1242 0.1660 0.8759
Ni3 0.1243 0.5000 0.8755
Ni4 0.1266 0.3336 0.3786
O1 0.0537 0.1662 0.1890
O2 0.0560 0.0000 0.6946
O3 0.0594 0.3205 0.7041
O4 0.0736 0.5000 0.2158
O5 0.1820 0.0000 0.0401
O6 0.1879 0.1703 0.5463
O7 0.1967 0.3284 0.0619
O8 0.2071 0.5000 0.5715
```

Most intense lines, 10° ≤ 2θ ≤ 90°, by angle:
- 18.5°, intensity 100, (2 0 -2)
- 36.3°, intensity 29, (1 3 1)
- 36.8°, intensity 13, (4 0 0)
- 38.1°, intensity 15, (2 0 2)
- 43.8°, intensity 46, (1 3 -3)
- 44.7°, intensity 22, (6 0 -2)
- 48.3°, intensity 9, (5 3 -3)
- 57.8°, intensity 12, (3 3 -5)
- 64.0°, intensity 12, (7 3 -5)
- 64.7°, intensity 12, (5 3 1)